Calculated powder diffractogram of NiRhF6 for Cu Kα (λ = 1.5418 Å), from a PBE+U-relaxed structure.
Kinematic intensities with the Lorentz-polarization factor, no thermal factor.

Top 8 peaks for 2θ from 10° to 80°, most intense first:
24.0°, d 3.710, I 1000
33.2°, d 2.701, I 317
54.0°, d 1.698, I 297
49.1°, d 1.855, I 158
40.5°, d 2.226, I 154
56.7°, d 1.623, I 149
35.2°, d 2.552, I 139
43.0°, d 2.103, I 124

Structure:
Lattice parameters (Å, degrees): 5.421 5.421 5.421 56.17 56.17 56.17
Element x y z (fractional)
Ni1 0.000 0.000 0.000
Rh1 0.500 0.500 0.500
F1 0.119 0.743 0.391
F2 0.257 0.609 0.881
F3 0.391 0.119 0.743
F4 0.609 0.881 0.257
F5 0.743 0.391 0.119
F6 0.881 0.257 0.609